Diffraction record for Li3CuS2. The XRD peak list is computed, not measured: it uses a GGA-PBE-relaxed structure and Cu Kα.
Kinematic intensities with the Lorentz-polarization factor, no thermal factor.

Main lines, low angle first (10° ≤ 2θ ≤ 90°):
d = 4.686 Å, intensity 75; d = 3.844 Å, intensity 66; d = 3.581 Å, intensity 100; d = 3.483 Å, intensity 39; d = 3.283 Å, intensity 78; d = 3.267 Å, intensity 42; d = 2.619 Å, intensity 27; d = 2.476 Å, intensity 40; d = 2.137 Å, intensity 25; d = 2.101 Å, intensity 30

Cell and atoms:
```
Li3CuS2
1.0
7.107 0.000 0.000
0.000 7.972 0.000
-5.089 0.000 7.163
Li Cu S
12 4 8
Direct
0.208 0.051 0.455
0.208 0.449 0.955
0.247 0.002 0.888
0.247 0.498 0.388
0.268 0.729 0.659
0.268 0.771 0.159
0.732 0.229 0.841
0.732 0.271 0.341
0.753 0.502 0.612
0.753 0.998 0.112
0.792 0.551 0.045
0.792 0.949 0.545
0.238 0.169 0.192
0.238 0.331 0.692
0.762 0.669 0.308
0.762 0.831 0.808
0.036 0.725 0.801
0.036 0.775 0.301
0.493 0.512 0.275
0.493 0.988 0.775
0.507 0.012 0.225
0.507 0.488 0.725
0.964 0.225 0.699
0.964 0.275 0.199
```